No. 1
For CrNiPt14, a structure optimized by DFT (PBE) gives the simulated PXRD pattern in this record (Cu Kα X-rays).
Neutral-atom scattering factors, no anomalous dispersion.

Cell lengths 5.6000, 5.6000, 7.7927 Å; angles 90.00, 90.00, 90.00 degrees
Space group P4/mmm (No. 123)
Symmetry-distinct sites (fractional):
1 Cr 0.0000 0.0000 0.0000 (multiplicity 1)
2 Ni 0.5000 0.5000 0.0000 (multiplicity 1)
3 Pt 0.0000 0.0000 0.5000 (multiplicity 1)
4 Pt 0.0000 0.5000 0.0000 (multiplicity 2)
5 Pt 0.0000 0.5000 0.5000 (multiplicity 2)
6 Pt 0.2495 0.2495 0.2413 (multiplicity 8)
7 Pt 0.5000 0.5000 0.5000 (multiplicity 1)

Main lines, by angle (10 to 90 degrees two-theta):
d_spacing  Rel. int.  hkl
7.793  1.9  0 0 1
3.960  1.9  1 1 0
3.530  2.8  1 1 1
2.635  2.3  2 0 1
2.274  100.0  2 0 2
1.980  33.5  2 2 0
1.948  15.5  0 0 4
1.400  11.0  4 0 0
1.389  20.8  2 2 4
1.192  26.1  4 2 2
1.178  12.0  2 0 6
1.137  11.2  4 0 4

***

No. 2
For Pa2TiSi2Ru5, a structure optimized by DFT (PBE) gives the simulated PXRD pattern in this record (Cu Kα X-rays).
Neutral-atom scattering factors, no anomalous dispersion.

Cell lengths 9.9026, 9.9026, 3.3745 Å; angles 90.00, 90.00, 90.00 degrees
Space group P4/mbm (No. 127)
Symmetry-distinct sites (fractional):
1 Pa 0.1748 0.3252 0.0000 (multiplicity 4)
2 Ti 0.0000 0.0000 0.0000 (multiplicity 2)
3 Si 0.1235 0.6235 0.0000 (multiplicity 4)
4 Ru 0.0000 0.5000 0.5000 (multiplicity 2)
5 Ru 0.0694 0.7890 0.5000 (multiplicity 8)

Main lines, by angle (10 to 90 degrees two-theta):
d_spacing  Rel. int.  hkl
4.429  30.3  2 1 0
2.788  25.4  2 0 1
2.684  100.0  2 1 1
2.430  26.7  2 2 1
2.402  99.1  4 1 0
2.334  38.1  3 3 0
2.295  99.3  3 1 1
2.214  20.8  4 2 0
2.130  30.9  3 2 1
1.687  22.6  0 0 2
1.406  23.2  5 4 1
1.381  35.0  4 1 2

***

No. 3
For MnZn2Ag2Au5, a structure optimized by DFT (PBE) gives the simulated PXRD pattern in this record (Cu Kα X-rays).
Neutral-atom scattering factors, no anomalous dispersion.

Cell lengths 10.1941, 10.1941, 3.4606 Å; angles 90.00, 90.00, 90.00 degrees
Space group P4/mbm (No. 127)
Symmetry-distinct sites (fractional):
1 Mn 0.0000 0.0000 0.0000 (multiplicity 2)
2 Zn 0.1422 0.3578 0.0000 (multiplicity 4)
3 Ag 0.1719 0.6719 0.0000 (multiplicity 4)
4 Au 0.0000 0.5000 0.5000 (multiplicity 2)
5 Au 0.0199 0.2049 0.5000 (multiplicity 8)

Main lines, by angle (10 to 90 degrees two-theta):
d_spacing  Rel. int.  hkl
3.604  18.8  2 2 0
3.461  26.8  0 0 1
2.863  25.7  2 0 1
2.549  23.9  4 0 0
2.496  49.8  2 2 1
2.472  18.9  4 1 0
2.403  70.5  3 3 0
2.359  100.0  3 1 1
2.052  63.8  4 0 1
1.730  31.5  0 0 2
1.404  26.0  3 3 2
1.248  39.5  7 3 1

***

No. 4
For TbPrFeCu, a structure optimized by DFT (PBE) gives the simulated PXRD pattern in this record (Cu Kα X-rays).
Neutral-atom scattering factors, no anomalous dispersion.

Cell lengths 7.0051, 7.0051, 7.0051 Å; angles 90.00, 90.00, 90.00 degrees
Space group F-43m (No. 216)
Symmetry-distinct sites (fractional):
1 Tb 0.0000 0.0000 0.0000 (multiplicity 4)
2 Pr 0.0000 0.0000 0.5000 (multiplicity 4)
3 Fe 0.2500 0.2500 0.7500 (multiplicity 4)
4 Cu 0.2500 0.2500 0.2500 (multiplicity 4)

Main lines, by angle (10 to 90 degrees two-theta):
d_spacing  Rel. int.  hkl
3.503  19.7  2 0 0
2.477  100.0  2 2 0
2.022  6.0  2 2 2
1.751  17.3  4 0 0
1.566  8.4  4 2 0
1.430  34.7  4 2 2
1.238  10.6  4 4 0
1.168  4.3  6 0 0
1.108  15.4  6 2 0

***

No. 5
For K3Sn5Au3, a structure optimized by DFT (PBE) gives the simulated PXRD pattern in this record (Cu Kα X-rays).
Neutral-atom scattering factors, no anomalous dispersion.

Cell lengths 8.6493, 8.6493, 6.4454 Å; angles 90.00, 90.00, 120.00 degrees
Space group P-62m (No. 189)
Symmetry-distinct sites (fractional):
1 K 0.0000 0.6484 0.0000 (multiplicity 3)
2 Sn 0.0000 0.2859 0.5000 (multiplicity 3)
3 Sn 0.3333 0.6667 0.5000 (multiplicity 2)
4 Au 0.0000 0.6494 0.5000 (multiplicity 3)

Main lines, by angle (10 to 90 degrees two-theta):
d_spacing  Rel. int.  hkl
6.445  100.0  0 0 1
4.325  19.6  1 1 0
3.223  30.7  0 0 2
2.831  7.7  2 1 0
2.592  10.0  2 1 1
2.584  10.5  1 1 2
2.497  38.8  3 0 0
2.328  41.8  3 0 1
1.974  40.6  3 0 2
1.629  14.4  3 0 3
1.354  11.6  3 0 4
1.316  11.0  3 3 2

***

No. 6
For TaCu3Se3S, a structure optimized by DFT (PBE) gives the simulated PXRD pattern in this record (Cu Kα X-rays).
Neutral-atom scattering factors, no anomalous dispersion.

Cell lengths 7.9532, 7.9532, 10.0335 Å; angles 90.00, 90.00, 120.00 degrees
Space group R3m (No. 160, hexagonal axes)
Symmetry-distinct sites (fractional):
1 Ta 0.0000 0.0000 0.0000 (multiplicity 3)
2 Cu 0.1692 0.3384 0.8361 (multiplicity 9)
3 Se 0.0046 0.5023 0.2541 (multiplicity 9)
4 S 0.0000 0.0000 0.2314 (multiplicity 3)

Main lines, by angle (10 to 90 degrees two-theta):
d_spacing  Rel. int.  hkl
5.678  100.0  1 0 1
4.055  17.1  0 1 2
3.344  12.1  0 0 3
3.257  31.2  0 2 1
2.560  24.3  1 1 3
2.520  30.1  2 1 1
2.028  46.5  0 2 4
1.988  44.2  2 2 0
1.893  10.1  3 0 3
1.877  11.0  1 3 1
1.420  14.1  4 0 4
1.155  14.4  2 4 4

***

No. 7
For Tb6NdDy, a structure optimized by DFT (PBE) gives the simulated PXRD pattern in this record (Cu Kα X-rays).
Neutral-atom scattering factors, no anomalous dispersion.

Cell lengths 5.0544, 5.0544, 10.1028 Å; angles 90.00, 90.00, 90.00 degrees
Space group P4/mmm (No. 123)
Symmetry-distinct sites (fractional):
1 Tb 0.0000 0.0000 0.0000 (multiplicity 1)
2 Tb 0.0000 0.0000 0.5000 (multiplicity 1)
3 Tb 0.0000 0.5000 0.2478 (multiplicity 4)
4 Nd 0.5000 0.5000 0.5000 (multiplicity 1)
5 Dy 0.5000 0.5000 0.0000 (multiplicity 1)

Main lines, by angle (10 to 90 degrees two-theta):
d_spacing  Rel. int.  hkl
2.918  100.0  1 1 2
2.527  50.6  2 0 0
1.787  36.1  2 2 0
1.524  42.9  3 1 2
1.459  12.3  2 2 4
1.263  5.7  4 0 0
1.159  17.7  3 3 2
1.130  16.6  4 2 0

***

No. 8
For LaGa2Ni6, a structure optimized by DFT (PBE) gives the simulated PXRD pattern in this record (Cu Kα X-rays).
Neutral-atom scattering factors, no anomalous dispersion.

Cell lengths 10.5817, 10.5817, 10.5817 Å; angles 90.00, 90.00, 90.00 degrees
Space group Fd-3m (No. 227, origin choice 2)
Symmetry-distinct sites (fractional):
1 La 0.1250 0.1250 0.1250 (multiplicity 8)
2 Ga 0.0000 0.0000 0.5000 (multiplicity 16)
3 Ni 0.1205 0.3750 0.3750 (multiplicity 48)

Main lines, by angle (10 to 90 degrees two-theta):
d_spacing  Rel. int.  hkl
3.191  58.6  3 1 1
3.055  13.4  2 2 2
2.645  45.9  4 0 0
2.036  25.0  5 1 1
1.871  100.0  4 4 0
1.614  7.8  5 3 3
1.527  10.3  4 4 4
1.378  12.7  5 5 3
1.323  14.9  8 0 0
1.222  7.6  5 5 5
1.183  12.5  8 4 0
1.109  5.7  9 3 1

***

No. 9
For Sm8Ho2Sc, a structure optimized by DFT (PBE) gives the simulated PXRD pattern in this record (Cu Kα X-rays).
Neutral-atom scattering factors, no anomalous dispersion.

Cell lengths 16.5368, 6.7262, 6.6488 Å; angles 90.00, 101.74, 90.00 degrees
Space group C2/m (No. 12)
Symmetry-distinct sites (fractional):
1 Sm 0.0819 0.2411 0.3893 (multiplicity 8)
2 Sm 0.0959 0.0000 0.9158 (multiplicity 4)
3 Sm 0.2458 0.5000 0.3294 (multiplicity 4)
4 Ho 0.1872 0.5000 0.8096 (multiplicity 4)
5 Sc 0.0000 0.5000 0.0000 (multiplicity 2)

Main lines, by angle (10 to 90 degrees two-theta):
d_spacing  Rel. int.  hkl
3.106  48.0  2 2 0
2.986  70.9  0 2 1
2.918  44.1  5 1 0
2.866  47.8  5 1 -1
2.829  100.0  2 0 2
2.799  69.3  3 1 -2
2.722  87.9  2 2 1
2.698  33.8  6 0 0
2.519  26.1  4 2 -1
1.487  26.7  8 2 -3
1.483  25.5  10 2 -1
1.446  29.6  2 4 2

***

No. 10
For Y4NiPd, a structure optimized by DFT (PBE) gives the simulated PXRD pattern in this record (Cu Kα X-rays).
Neutral-atom scattering factors, no anomalous dispersion.

Cell lengths 6.8826, 6.8826, 6.3645 Å; angles 90.00, 90.00, 90.00 degrees
Space group P4/mcc (No. 124)
Symmetry-distinct sites (fractional):
1 Y 0.1740 0.3135 0.0000 (multiplicity 8)
2 Ni 0.0000 0.0000 0.2500 (multiplicity 2)
3 Pd 0.5000 0.5000 0.2500 (multiplicity 2)

Main lines, by angle (10 to 90 degrees two-theta):
d_spacing  Rel. int.  hkl
4.867  19.6  1 1 0
2.771  100.0  2 1 1
2.663  40.2  1 1 2
2.433  27.9  2 2 0
2.336  79.3  2 0 2
2.176  40.2  3 1 0
1.747  24.5  2 1 3
1.615  30.2  4 1 1
1.445  26.4  3 3 2
1.312  14.7  4 1 3
1.284  13.8  3 1 4
1.243  10.6  5 1 2

***

No. 11
For Ba3CePm2Se6, a structure optimized by DFT (PBE) gives the simulated PXRD pattern in this record (Cu Kα X-rays).
Neutral-atom scattering factors, no anomalous dispersion.

Cell lengths 7.6012, 13.1525, 7.8453 Å; angles 90.00, 108.81, 90.00 degrees
Space group C2/m (No. 12)
Symmetry-distinct sites (fractional):
1 Ba 0.0000 0.0000 0.0000 (multiplicity 2)
2 Ba 0.0000 0.3334 0.0000 (multiplicity 4)
3 Ce 0.0000 0.5000 0.5000 (multiplicity 2)
4 Pm 0.0000 0.1666 0.5000 (multiplicity 4)
5 Se 0.2392 0.0000 0.7203 (multiplicity 4)
6 Se 0.2407 0.3329 0.7206 (multiplicity 8)

Main lines, by angle (10 to 90 degrees two-theta):
d_spacing  Rel. int.  hkl
3.595  10.3  2 0 0
3.138  100.0  1 3 1
2.246  36.6  2 0 2
2.193  37.3  0 6 0
1.857  6.1  0 0 4
1.798  19.7  4 0 0
1.569  11.8  2 6 2
1.417  15.0  3 3 3
1.390  16.9  4 6 0
1.307  4.9  1 3 5
1.276  11.9  5 3 1
1.266  6.3  6 0 -2

***

No. 12
For Na3Cd9Pt2, a structure optimized by DFT (PBE) gives the simulated PXRD pattern in this record (Cu Kα X-rays).
Neutral-atom scattering factors, no anomalous dispersion.

Cell lengths 4.6738, 11.1282, 12.2721 Å; angles 90.00, 90.00, 90.00 degrees
Space group Immm (No. 71)
Symmetry-distinct sites (fractional):
1 Na 0.0000 0.0000 0.0000 (multiplicity 2)
2 Na 0.0000 0.0000 0.2956 (multiplicity 4)
3 Cd 0.0000 0.2845 0.1344 (multiplicity 8)
4 Cd 0.0000 0.3697 0.3680 (multiplicity 8)
5 Cd 0.0000 0.5000 0.0000 (multiplicity 2)
6 Pt 0.0000 0.1567 0.5000 (multiplicity 4)

Main lines, by angle (10 to 90 degrees two-theta):
d_spacing  Rel. int.  hkl
8.244  34.8  0 1 1
6.136  48.3  0 0 2
5.564  44.1  0 2 0
3.840  41.7  0 1 3
2.692  91.7  1 2 3
2.626  54.3  1 3 2
2.499  43.2  1 1 4
2.346  97.2  1 4 1
2.337  66.1  2 0 0
2.110  100.0  1 3 4
1.414  34.9  1 4 7
1.301  20.3  3 3 4